This entry pairs a crystal structure of NaH4ClO2 with its theoretical powder X-ray diffraction pattern. Radiation: Cu Ka. Structure: a crystal structure in the Materials Project, relaxed with GGA-PBE.
Peak positions follow from Bragg's law for the DFT cell and can differ from measured ones.

Structure:
```
data_NaH4ClO2
_symmetry_space_group_name_H-M 'P 1 21/c 1'
_symmetry_Int_Tables_number 14
_cell_length_a 6.462
_cell_length_b 10.185
_cell_length_c 6.604
_cell_angle_alpha 90.00
_cell_angle_beta 114.80
_cell_angle_gamma 90.00
loop_
_symmetry_equiv_pos_as_xyz
'x,y,z'
'-x,-y,-z'
'-x,y+1/2,-z+1/2'
'x,-y+1/2,z+1/2'
loop_
_atom_site_label
_atom_site_type_symbol
_atom_site_fract_x
_atom_site_fract_y
_atom_site_fract_z
Na1 Na 0.028 0.168 0.455
H1 H 0.224 0.590 0.779
H2 H 0.253 0.039 0.882
H3 H 0.363 0.702 0.936
H4 H 0.381 0.524 0.249
Cl1 Cl 0.295 0.115 0.209
O1 O 0.208 0.680 0.827
O2 O 0.231 0.009 0.732
```

Most intense lines, 2θ from 10° to 80°, by intensity:
| 2θ (°) | intensity |
| --- | --- |
| 36.78 | 1000 |
| 33.75 | 632 |
| 30.44 | 624 |
| 45.01 | 410 |
| 22.91 | 394 |
| 26.80 | 337 |